Entry 1:
Starting from the PBE geometry in the Materials Project, the powder diffraction line list of Ti3Ni was calculated for Cu Kα (λ = 1.5418 Å).
Intensities are scaled so that the largest is 1000.

Most intense lines, 2θ from 10° to 90°, in order of rising 2θ:
d 4.716, 18.82 deg, rel. 32
d 2.358, 38.16 deg, rel. 241
d 2.312, 38.95 deg, rel. 305
d 2.101, 43.06 deg, rel. 1000
d 1.651, 55.67 deg, rel. 146
d 1.362, 68.98 deg, rel. 141
d 1.290, 73.37 deg, rel. 177
d 1.173, 82.15 deg, rel. 167
d 1.156, 83.63 deg, rel. 27
d 1.143, 84.87 deg, rel. 114

Structure:
Cell lengths 5.4460, 5.4460, 4.6249 Å; angles 90.00, 90.00, 120.00 degrees
Atoms (fractional coordinates):
Ti (0.1730, 0.3461, 0.2500)
Ti (0.1730, 0.8270, 0.2500)
Ti (0.3461, 0.1730, 0.7500)
Ti (0.6539, 0.8270, 0.2500)
Ti (0.8270, 0.1730, 0.7500)
Ti (0.8270, 0.6539, 0.7500)
Ni (0.3333, 0.6667, 0.7500)
Ni (0.6667, 0.3333, 0.2500)

***

Entry 2:
Starting from the PBE geometry in the Materials Project, the powder diffraction line list of PuSbTe was calculated for Cu Kα (λ = 1.5418 Å).
Intensities are scaled so that the largest is 1000.

Most intense lines, 2θ from 10° to 90°, in order of rising 2θ:
d 3.907, 22.76 deg, rel. 415
d 3.066, 29.13 deg, rel. 358
d 3.007, 29.71 deg, rel. 378
d 2.903, 30.81 deg, rel. 668
d 2.535, 35.40 deg, rel. 1000
d 2.471, 36.36 deg, rel. 495
d 2.168, 41.67 deg, rel. 566
d 1.758, 52.01 deg, rel. 318
d 1.629, 56.47 deg, rel. 284
d 1.312, 71.99 deg, rel. 259

Structure:
Cell lengths 4.3354, 4.3354, 9.0203 Å; angles 90.00, 90.00, 90.00 degrees
Atoms (fractional coordinates):
Pu (0.2500, 0.2500, 0.2206)
Pu (0.7500, 0.7500, 0.7794)
Sb (0.2500, 0.7500, 0.5000)
Sb (0.7500, 0.2500, 0.5000)
Te (0.2500, 0.2500, 0.8618)
Te (0.7500, 0.7500, 0.1382)

***

Entry 3:
Starting from the PBE geometry in the Materials Project, the powder diffraction line list of MgSb2 was calculated for Cu Kα (λ = 1.5418 Å).
Intensities are scaled so that the largest is 1000.

Most intense lines, 2θ from 10° to 90°, in order of rising 2θ:
d 4.003, 22.21 deg, rel. 1000
d 3.019, 29.59 deg, rel. 345
d 2.971, 30.08 deg, rel. 288
d 2.831, 31.61 deg, rel. 641
d 2.815, 31.79 deg, rel. 729
d 2.669, 33.58 deg, rel. 292
d 2.597, 34.53 deg, rel. 419
d 2.545, 35.26 deg, rel. 586
d 2.513, 35.72 deg, rel. 505
d 1.980, 45.82 deg, rel. 533

Structure:
Cell lengths 6.4871, 6.4871, 8.3333 Å; angles 105.58, 105.58, 28.72 degrees
Atoms (fractional coordinates):
Mg (0.1338, 0.1338, 0.0062)
Mg (0.8662, 0.8662, 0.9938)
Sb (0.2254, 0.2254, 0.7050)
Sb (0.4694, 0.4694, 0.7235)
Sb (0.5306, 0.5306, 0.2765)
Sb (0.7746, 0.7746, 0.2950)

***

Entry 4:
Starting from the PBE geometry in the Materials Project, the powder diffraction line list of ZnCdSe2 was calculated for Cu Kα (λ = 1.5418 Å).
Intensities are scaled so that the largest is 1000.

Most intense lines, 2θ from 10° to 90°, in order of rising 2θ:
d 3.450, 25.83 deg, rel. 1000
d 2.114, 42.77 deg, rel. 488
d 2.109, 42.89 deg, rel. 252
d 1.806, 50.53 deg, rel. 143
d 1.799, 50.74 deg, rel. 302
d 1.491, 62.27 deg, rel. 80
d 1.372, 68.39 deg, rel. 111
d 1.222, 78.24 deg, rel. 70
d 1.219, 78.49 deg, rel. 156
d 1.148, 84.37 deg, rel. 68

Structure:
Cell lengths 4.2173, 4.2173, 5.9965 Å; angles 90.00, 90.00, 90.00 degrees
Atoms (fractional coordinates):
Zn (0.0000, 0.0000, 0.0000)
Cd (0.5000, 0.5000, 0.5000)
Se (0.0000, 0.5000, 0.7732)
Se (0.5000, 0.0000, 0.2268)

***

Entry 5:
Starting from the PBE geometry in the Materials Project, the powder diffraction line list of Mn2SbTe was calculated for Cu Kα (λ = 1.5418 Å).
Intensities are scaled so that the largest is 1000.

Most intense lines, 2θ from 10° to 90°, in order of rising 2θ:
d 3.046, 29.32 deg, rel. 1000
d 2.237, 40.32 deg, rel. 508
d 2.079, 43.53 deg, rel. 473
d 1.717, 53.35 deg, rel. 184
d 1.682, 54.57 deg, rel. 245
d 1.523, 60.83 deg, rel. 142
d 1.324, 71.22 deg, rel. 153
d 1.229, 77.73 deg, rel. 134
d 1.177, 81.88 deg, rel. 139
d 1.107, 88.29 deg, rel. 111

Structure:
Cell lengths 4.1583, 4.1583, 5.7080 Å; angles 90.00, 90.00, 120.00 degrees
Atoms (fractional coordinates):
Mn (0.0000, 0.0000, 0.2422)
Mn (0.0000, 0.0000, 0.7578)
Sb (0.6667, 0.3333, 0.0000)
Te (0.3333, 0.6667, 0.5000)

***

Entry 6:
Starting from the PBE geometry in the Materials Project, the powder diffraction line list of Cs4LiPb4O6 was calculated for Cu Kα (λ = 1.5418 Å).
Intensities are scaled so that the largest is 1000.

Most intense lines, 2θ from 10° to 90°, in order of rising 2θ:
d 3.417, 26.08 deg, rel. 1000
d 3.259, 27.36 deg, rel. 306
d 3.209, 27.80 deg, rel. 667
d 2.525, 35.56 deg, rel. 129
d 2.323, 38.76 deg, rel. 154
d 2.219, 40.67 deg, rel. 154
d 1.953, 46.51 deg, rel. 106
d 1.920, 47.34 deg, rel. 122
d 1.890, 48.15 deg, rel. 245
d 1.835, 49.68 deg, rel. 131

Structure:
Cell lengths 8.0496, 8.0496, 8.8839 Å; angles 121.53, 121.53, 70.51 degrees
Atoms (fractional coordinates):
Cs (0.2118, 0.2118, 0.2027)
Cs (0.2315, 0.2887, 0.7573)
Cs (0.7113, 0.7685, 0.2427)
Cs (0.7882, 0.7882, 0.7973)
Li (0.5437, 0.4563, 0.5000)
Pb (0.2227, 0.7149, 0.2212)
Pb (0.2851, 0.7773, 0.7788)
Pb (0.7022, 0.2426, 0.2194)
Pb (0.7574, 0.2978, 0.7806)
O (0.2506, 0.7494, 0.0000)
O (0.4782, 0.4982, 0.2841)
O (0.4947, 0.0085, 0.9960)
O (0.5018, 0.5218, 0.7159)
O (0.7502, 0.2498, 0.5000)
O (0.9915, 0.5053, 0.0040)